No. 1
Starting from a GGA+U-relaxed structure, the powder X-ray diffraction pattern of RbTl2VO4 was simulated for Cu Kα.
Neutral-atom scattering factors, no anomalous dispersion.

Structure:
```
data_RbTl2VO4
_cell_length_a 8.123
_cell_length_b 7.939
_cell_length_c 5.901
_cell_angle_alpha 90.00
_cell_angle_beta 90.00
_cell_angle_gamma 90.00
_symmetry_space_group_name_H-M 'P m n 21'
_symmetry_Int_Tables_number 31
loop_
_symmetry_equiv_pos_as_xyz
'x,y,z'
'-x+1/2,-y,z+1/2'
'-x,y,z'
'x+1/2,-y,z+1/2'
loop_
_atom_site_label
_atom_site_type_symbol
_atom_site_fract_x
_atom_site_fract_y
_atom_site_fract_z
_atom_site_occupancy
Rb1 Rb 0.000 0.126 0.000 1
Tl1 Tl 0.249 0.319 0.496 1
V1 V 0.000 0.867 0.506 1
O1 O 0.000 0.089 0.493 1
O2 O 0.000 0.806 0.795 1
O3 O 0.175 0.792 0.370 1
```

Most intense lines, 2θ = 15–90°, low angle first:
- hkl 0 1 1, 4.736 Å, I = 47
- hkl 0 2 0, 3.969 Å, I = 23
- hkl 2 1 0, 3.616 Å, I = 31
- hkl 0 2 1, 3.294 Å, I = 59
- hkl 2 1 1, 3.083 Å, I = 100
- hkl 0 0 2, 2.951 Å, I = 34
- hkl 2 1 2, 2.286 Å, I = 17
- hkl 2 3 0, 2.217 Å, I = 25
- hkl 2 3 2, 1.773 Å, I = 25
- hkl 2 1 3, 1.728 Å, I = 40



No. 2
Starting from a GGA+U-relaxed structure, the powder X-ray diffraction pattern of RbTl2V2O7 was simulated for Cu Kα.
Neutral-atom scattering factors, no anomalous dispersion.

Structure:
```
data_RbTl2V2O7
_cell_length_a 5.9653
_cell_length_b 5.9653
_cell_length_c 25.2018
_cell_angle_alpha 90.00
_cell_angle_beta 90.00
_cell_angle_gamma 120.00
_symmetry_space_group_name_H-M 'R 3 2'
_symmetry_Int_Tables_number 155
_symmetry_space_group_name_Hall 'R 3 2"'
loop_
_atom_site_label
_atom_site_type_symbol
_atom_site_fract_x
_atom_site_fract_y
_atom_site_fract_z
_atom_site_occupancy
Rb1 Rb 0.0000 0.0000 0.0000 1
Tl1 Tl 0.0000 0.0000 0.2101 1
V1 V 0.0000 0.0000 0.4279 1
O1 O 0.0000 0.0000 0.5000 1
O2 O 0.0398 0.4154 0.0735 1
```

Most intense lines, 2θ = 15–90°, low angle first:
- hkl 0 1 2, 4.780 Å, I = 21
- hkl 1 0 4, 3.995 Å, I = 36
- hkl 0 1 5, 3.608 Å, I = 100
- hkl 1 1 0, 2.983 Å, I = 68
- hkl 1 1 3, 2.811 Å, I = 19
- hkl 2 0 5, 2.299 Å, I = 23
- hkl 1 0 10, 2.265 Å, I = 18
- hkl 1 1 9, 2.041 Å, I = 31
- hkl 1 2 5, 1.821 Å, I = 26
- hkl 3 0 0, 1.722 Å, I = 17



No. 3
Starting from a GGA+U-relaxed structure, the powder X-ray diffraction pattern of Rb2TlV2O7 was simulated for Cu Kα.
Neutral-atom scattering factors, no anomalous dispersion.

Structure:
```
data_Rb2TlV2O7
_cell_length_a 6.2701
_cell_length_b 6.2701
_cell_length_c 23.0116
_cell_angle_alpha 90.00
_cell_angle_beta 90.00
_cell_angle_gamma 120.00
_symmetry_space_group_name_H-M 'R 3 2'
_symmetry_Int_Tables_number 155
_symmetry_space_group_name_Hall 'R 3 2"'
loop_
_atom_site_label
_atom_site_type_symbol
_atom_site_fract_x
_atom_site_fract_y
_atom_site_fract_z
_atom_site_occupancy
Rb1 Rb 0.0000 0.0000 0.2357 1
Tl1 Tl 0.0000 0.0000 0.5000 1
V1 V 0.0000 0.0000 0.0789 1
O1 O 0.0000 0.0000 0.0000 1
O2 O 0.0352 0.5209 0.7709 1
```

Most intense lines, 2θ = 15–90°, low angle first:
- hkl 0 1 2, 4.911 Å, I = 25
- hkl 1 0 4, 3.949 Å, I = 75
- hkl 0 1 5, 3.511 Å, I = 30
- hkl 1 1 0, 3.135 Å, I = 100
- hkl 1 1 3, 2.902 Å, I = 33
- hkl 1 0 7, 2.812 Å, I = 46
- hkl 0 2 4, 2.455 Å, I = 42
- hkl 0 2 7, 2.093 Å, I = 31
- hkl 2 1 4, 1.933 Å, I = 25
- hkl 1 1 12, 1.636 Å, I = 21



No. 4
Starting from a GGA+U-relaxed structure, the powder X-ray diffraction pattern of Rb2TlW2O7 was simulated for Cu Kα.
Neutral-atom scattering factors, no anomalous dispersion.

Structure:
```
data_Rb2TlW2O7
_cell_length_a 4.044
_cell_length_b 4.044
_cell_length_c 22.632
_cell_angle_alpha 90.00
_cell_angle_beta 90.00
_cell_angle_gamma 90.00
_symmetry_space_group_name_H-M 'I 4/m m m'
_symmetry_Int_Tables_number 139
_symmetry_space_group_name_Hall '-I 4 2'
loop_
_atom_site_label
_atom_site_type_symbol
_atom_site_fract_x
_atom_site_fract_y
_atom_site_fract_z
_atom_site_occupancy
Rb1 Rb 0.000 0.000 0.190 1
Tl1 Tl 0.000 0.000 0.000 1
W1 W 0.000 0.000 0.408 1
O1 O 0.000 0.000 0.326 1
O2 O 0.000 0.000 0.500 1
O3 O 0.000 0.500 0.090 1
```

Most intense lines, 2θ = 15–90°, low angle first:
- hkl 1 0 5, 3.016 Å, I = 100
- hkl 1 1 0, 2.859 Å, I = 49
- hkl 1 0 7, 2.525 Å, I = 14
- hkl 0 0 10, 2.263 Å, I = 13
- hkl 2 0 0, 2.022 Å, I = 25
- hkl 1 1 10, 1.775 Å, I = 18
- hkl 2 1 5, 1.679 Å, I = 37
- hkl 2 0 10, 1.508 Å, I = 14
- hkl 3 1 0, 1.279 Å, I = 9
- hkl 3 1 10, 1.113 Å, I = 9